No. 1
# SbRu2Pb
Computed powder X-ray diffraction pattern, copper Kα. Input: a DFT-relaxed cell (PBE, Alexandria).
Neutral-atom scattering factors, no anomalous dispersion.

```
data_SbRu2Pb
_symmetry_space_group_name_H-M 'P m m 2'
_symmetry_Int_Tables_number 25
_cell_length_a 3.2319
_cell_length_b 5.1354
_cell_length_c 4.5460
_cell_angle_alpha 90.00
_cell_angle_beta 90.00
_cell_angle_gamma 90.00
loop_
_symmetry_equiv_pos_as_xyz
'x,y,z'
'-x,-y,z'
'-x,y,z'
'x,-y,z'
loop_
_atom_site_label
_atom_site_fract_x
_atom_site_fract_y
_atom_site_fract_z
Sb1 0.0000 0.0000 0.0000
Ru1 0.0000 0.5000 0.2282
Ru2 0.5000 0.0000 0.4623
Pb1 0.5000 0.5000 0.7195
```

Main lines, by angle (10° ≤ 2θ ≤ 90°):
d/Å, I/Imax, (hkl)
3.404, 17, 0 1 1
2.634, 79, 1 0 1
2.568, 68, 0 2 0
2.344, 100, 1 1 1
2.079, 71, 0 1 2
1.839, 54, 1 2 1
1.435, 21, 1 3 1
1.368, 37, 2 2 0
1.326, 20, 1 1 3
1.276, 29, 2 1 2

***

No. 2
# Sc8Ru2Pb
Computed powder X-ray diffraction pattern, copper Kα. Input: a DFT-relaxed cell (PBE, Alexandria).
Neutral-atom scattering factors, no anomalous dispersion.

```
data_Sc8Ru2Pb
_symmetry_space_group_name_H-M 'I m m 2'
_symmetry_Int_Tables_number 44
_cell_length_a 4.9174
_cell_length_b 14.8168
_cell_length_c 6.5483
_cell_angle_alpha 90.00
_cell_angle_beta 90.00
_cell_angle_gamma 90.00
loop_
_symmetry_equiv_pos_as_xyz
'x,y,z'
'-x,-y,z'
'-x,y,z'
'x,-y,z'
'x+1/2,y+1/2,z+1/2'
'-x+1/2,-y+1/2,z+1/2'
'-x+1/2,y+1/2,z+1/2'
'x+1/2,-y+1/2,z+1/2'
loop_
_atom_site_label
_atom_site_fract_x
_atom_site_fract_y
_atom_site_fract_z
Sc1 0.0000 0.0000 0.0000
Sc2 0.0000 0.1143 0.4524
Sc3 0.0000 0.2895 0.1314
Sc4 0.0000 0.3263 0.5873
Sc5 0.0000 0.5000 0.2415
Ru1 0.0000 0.1702 0.8271
Pb1 0.0000 0.5000 0.7992
```

Main lines, by angle (10° ≤ 2θ ≤ 90°):
d/Å, I/Imax, (hkl)
3.938, 100, 0 3 1
3.483, 40, 1 3 0
2.680, 23, 1 1 2
2.469, 22, 0 6 0
2.458, 49, 2 0 0
2.386, 90, 1 3 2
2.091, 33, 1 6 1
2.086, 20, 2 3 1
1.996, 33, 1 0 3
1.550, 20, 2 3 3

***

No. 3
# RuPbSe
Computed powder X-ray diffraction pattern, copper Kα. Input: a DFT-relaxed cell (PBE, Alexandria).
Neutral-atom scattering factors, no anomalous dispersion.

```
data_RuPbSe
_symmetry_space_group_name_H-M 'C m c 21'
_symmetry_Int_Tables_number 36
_cell_length_a 3.5453
_cell_length_b 14.0716
_cell_length_c 5.4219
_cell_angle_alpha 90.00
_cell_angle_beta 90.00
_cell_angle_gamma 90.00
loop_
_symmetry_equiv_pos_as_xyz
'x,y,z'
'-x,-y,z+1/2'
'-x,y,z'
'x,-y,z+1/2'
'x+1/2,y+1/2,z'
'-x+1/2,-y+1/2,z+1/2'
'-x+1/2,y+1/2,z'
'x+1/2,-y+1/2,z+1/2'
loop_
_atom_site_label
_atom_site_fract_x
_atom_site_fract_y
_atom_site_fract_z
Ru1 0.0000 0.2427 0.0000
Pb1 0.0000 0.0943 0.6460
Se1 0.0000 0.3591 0.6599
```

Main lines, by angle (10° ≤ 2θ ≤ 90°):
d/Å, I/Imax, (hkl)
4.295, 22, 0 2 1
3.438, 18, 1 1 0
2.951, 28, 0 4 1
2.903, 32, 1 1 1
2.711, 24, 0 0 2
2.508, 100, 1 3 1
2.345, 13, 0 6 0
2.147, 24, 0 4 2
1.773, 18, 2 0 0
1.600, 20, 1 1 3

***

No. 4
# Tb5RuPb4
Computed powder X-ray diffraction pattern, copper Kα. Input: a DFT-relaxed cell (PBE, Alexandria).
Neutral-atom scattering factors, no anomalous dispersion.

```
data_Tb5RuPb4
_symmetry_space_group_name_H-M 'I 4'
_symmetry_Int_Tables_number 79
_cell_length_a 9.7646
_cell_length_b 9.7646
_cell_length_c 6.1871
_cell_angle_alpha 90.00
_cell_angle_beta 90.00
_cell_angle_gamma 90.00
loop_
_symmetry_equiv_pos_as_xyz
'x,y,z'
'-y,x,z'
'-x,-y,z'
'y,-x,z'
'x+1/2,y+1/2,z+1/2'
'-y+1/2,x+1/2,z+1/2'
'-x+1/2,-y+1/2,z+1/2'
'y+1/2,-x+1/2,z+1/2'
loop_
_atom_site_label
_atom_site_fract_x
_atom_site_fract_y
_atom_site_fract_z
Tb1 0.0000 0.0000 0.0000
Tb2 0.1096 0.2469 0.4218
Ru1 0.0000 0.0000 0.4836
Pb1 0.0680 0.3284 0.9213
```

Main lines, by angle (10° ≤ 2θ ≤ 90°):
d/Å, I/Imax, (hkl)
3.090, 100, 0 0 2
2.881, 27, 3 0 1
2.481, 26, 3 2 1
2.185, 59, 1 3 2
1.784, 15, 4 2 2
1.741, 9, 3 0 3
1.641, 7, 3 2 3
1.554, 17, 1 6 1
1.481, 11, 4 5 1
1.382, 15, 1 3 4

***

No. 5
# Th4RuPb2
Computed powder X-ray diffraction pattern, copper Kα. Input: a DFT-relaxed cell (PBE, Alexandria).
Neutral-atom scattering factors, no anomalous dispersion.

```
data_Th4RuPb2
_symmetry_space_group_name_H-M 'P 1 21/m 1'
_symmetry_Int_Tables_number 11
_cell_length_a 6.3799
_cell_length_b 6.7434
_cell_length_c 9.9015
_cell_angle_alpha 90.00
_cell_angle_beta 100.59
_cell_angle_gamma 90.00
loop_
_symmetry_equiv_pos_as_xyz
'x,y,z'
'-x,-y,-z'
'-x,y+1/2,-z'
'x,-y+1/2,z'
loop_
_atom_site_label
_atom_site_fract_x
_atom_site_fract_y
_atom_site_fract_z
Th1 0.1789 0.2500 0.0954
Th2 0.2525 0.5146 0.7369
Th3 0.2957 0.7500 0.4017
Ru1 0.0093 0.7500 0.1724
Pb1 0.1924 0.2500 0.4365
Pb2 0.3671 0.7500 0.0452
```

Main lines, by angle (10° ≤ 2θ ≤ 90°):
d/Å, I/Imax, (hkl)
3.130, 72, 1 0 -3
2.912, 50, 1 2 -1
2.839, 61, 2 1 0
2.773, 100, 0 2 2
2.687, 64, 1 0 3
2.655, 26, 2 1 -2
1.975, 32, 2 2 2
1.686, 18, 0 4 0
1.567, 19, 1 2 5
1.428, 18, 1 4 3

***

No. 6
# Th4RuPb
Computed powder X-ray diffraction pattern, copper Kα. Input: a DFT-relaxed cell (PBE, Alexandria).
Neutral-atom scattering factors, no anomalous dispersion.

```
data_Th4RuPb
_symmetry_space_group_name_H-M 'P m n 21'
_symmetry_Int_Tables_number 31
_cell_length_a 6.9910
_cell_length_b 5.8128
_cell_length_c 8.6524
_cell_angle_alpha 90.00
_cell_angle_beta 90.00
_cell_angle_gamma 90.00
loop_
_symmetry_equiv_pos_as_xyz
'x,y,z'
'-x+1/2,-y,z+1/2'
'-x,y,z'
'x+1/2,-y,z+1/2'
loop_
_atom_site_label
_atom_site_fract_x
_atom_site_fract_y
_atom_site_fract_z
Th1 0.0000 0.0934 0.0000
Th2 0.0000 0.7921 0.6282
Th3 0.2399 0.6697 0.2060
Ru1 0.0000 0.5629 0.9246
Pb1 0.0000 0.2093 0.3723
```

Main lines, by angle (10° ≤ 2θ ≤ 90°):
d/Å, I/Imax, (hkl)
3.109, 42, 1 1 2
2.996, 19, 2 1 0
2.831, 100, 2 1 1
2.755, 34, 0 2 1
2.719, 44, 2 0 2
2.666, 25, 1 0 3
2.584, 37, 0 1 3
2.563, 25, 1 2 1
1.767, 23, 2 2 3
1.748, 17, 4 0 0